Entry 1:
This entry pairs a crystal structure of FeCuN3 with its computed powder diffractogram. Radiation: λ = 1.5418 Å (Cu Kα). Structure: a structure optimized by DFT (GGA-PBE).
Kinematic intensities with the Lorentz-polarization factor, no thermal factor.

```
data_FeCuN3
_space_group_name_H-M_alt 'P m -3 m'
_space_group_IT_number 221
_space_group_name_Hall '-P 4 2 3'
_cell_length_a 3.635
_cell_length_b 3.635
_cell_length_c 3.635
_cell_angle_alpha 90.00
_cell_angle_beta 90.00
_cell_angle_gamma 90.00
loop_
_atom_site_label
_atom_site_type_symbol
_atom_site_fract_x
_atom_site_fract_y
_atom_site_fract_z
Fe1 Fe 0.000 0.000 0.000
Cu1 Cu 0.500 0.500 0.500
N1 N 0.000 0.000 0.500
```

Main lines, by angle (2θ = 15–90°):
two_theta	I_rel	(hkl)
34.91	100	1 1 0
43.10	6	1 1 1
50.19	34	2 0 0
62.59	34	2 1 1
73.72	18	2 2 0
84.23	14	3 1 0
89.40	1	3 1 1

Entry 2:
This entry pairs a crystal structure of Cd3S2F with its computed powder diffractogram. Radiation: λ = 1.5418 Å (Cu Kα). Structure: a structure optimized by DFT (GGA-PBE).
Kinematic intensities with the Lorentz-polarization factor, no thermal factor.

```
data_Cd3S2F
_space_group_name_H-M_alt 'I m m 2'
_space_group_IT_number 44
_space_group_name_Hall 'I 2 -2'
_cell_length_a 4.210
_cell_length_b 12.301
_cell_length_c 5.714
_cell_angle_alpha 90.00
_cell_angle_beta 90.00
_cell_angle_gamma 90.00
loop_
_atom_site_label
_atom_site_type_symbol
_atom_site_fract_x
_atom_site_fract_y
_atom_site_fract_z
Cd1 Cd 0.000 0.000 0.000
Cd2 Cd 0.000 0.335 0.061
S1 S 0.000 0.161 0.306
F1 F 0.000 0.500 0.279
```

Main lines, by angle (2θ = 15–90°):
two_theta	I_rel	(hkl)
26.30	99	1 0 1
26.76	100	0 3 1
30.43	38	1 3 0
31.31	15	0 0 2
42.97	20	2 0 0
44.22	83	0 6 0
51.35	31	2 3 1
52.14	28	1 6 1
52.75	12	1 0 3
63.33	12	2 6 0